Simulated powder XRD pattern
Compound: Na2ScInSi4O12
Radiation: copper Kα
Structure: a DFT-relaxed cell (PBE, the Materials Project)
Peak positions follow from Bragg's law for the DFT cell and can differ from measured ones.

Atomic structure:
```
data_Na2ScInSi4O12
_space_group_name_H-M_alt 'C 1 2 1'
_space_group_IT_number 5
_space_group_name_Hall 'C 2y'
_cell_length_a 10.025
_cell_length_b 9.207
_cell_length_c 5.422
_cell_angle_alpha 90.00
_cell_angle_beta 107.29
_cell_angle_gamma 90.00
loop_
_atom_site_label
_atom_site_type_symbol
_atom_site_fract_x
_atom_site_fract_y
_atom_site_fract_z
Na1 Na 0.000 0.000 0.000
Na2 Na 0.000 0.394 0.500
Sc1 Sc 0.000 0.588 0.000
In1 In 0.000 0.801 0.500
Si1 Si 0.209 0.111 0.505
Si2 Si 0.209 0.284 0.004
O1 O 0.119 0.617 0.394
O2 O 0.120 0.775 0.904
O3 O 0.139 0.443 0.940
O4 O 0.144 0.952 0.433
O5 O 0.150 0.188 0.731
O6 O 0.151 0.208 0.232
```

Principal peaks in the range 2θ from 15° to 90°, in order of falling intensity:
- d = 3.099 Å, I 100, hkl 2 2 -1
- d = 3.015 Å, I 47, hkl 3 1 0
- d = 2.564 Å, I 40, hkl 2 2 1
- d = 2.588 Å, I 35, hkl 0 0 2
- d = 4.563 Å, I 31, hkl 1 1 -1
- d = 2.650 Å, I 25, hkl 1 3 -1


Simulated powder XRD pattern
Compound: HgTeH4O6
Radiation: copper Kα
Structure: a DFT-relaxed cell (PBE, the Materials Project)
Peak positions follow from Bragg's law for the DFT cell and can differ from measured ones.

Atomic structure:
```
data_HgTeH4O6
_space_group_name_H-M_alt 'P n a 21'
_space_group_IT_number 33
_space_group_name_Hall 'P 2c -2n'
_cell_length_a 11.024
_cell_length_b 6.175
_cell_length_c 8.436
_cell_angle_alpha 90.00
_cell_angle_beta 90.00
_cell_angle_gamma 90.00
loop_
_atom_site_label
_atom_site_type_symbol
_atom_site_fract_x
_atom_site_fract_y
_atom_site_fract_z
Hg1 Hg 0.026 0.141 0.000
Te1 Te 0.143 0.646 0.996
H1 H 0.084 0.513 0.273
H2 H 0.155 0.293 0.563
H3 H 0.217 0.866 0.774
H4 H 0.218 0.843 0.516
O1 O 0.016 0.829 0.082
O2 O 0.018 0.450 0.915
O3 O 0.138 0.790 0.788
O4 O 0.150 0.476 0.195
O5 O 0.226 0.946 0.428
O6 O 0.236 0.358 0.562
```

Principal peaks in the range 2θ from 15° to 90°, in order of falling intensity:
- d = 4.218 Å, I 100, hkl 0 0 2
- d = 4.614 Å, I 82, hkl 2 0 1
- d = 2.804 Å, I 79, hkl 1 2 1
- d = 3.696 Å, I 71, hkl 2 1 1
- d = 2.043 Å, I 39, hkl 1 2 3
- d = 5.512 Å, I 35, hkl 2 0 0


Simulated powder XRD pattern
Compound: Mo3WSe4S4
Radiation: copper Kα
Structure: a DFT-relaxed cell (PBE, the Materials Project)
Peak positions follow from Bragg's law for the DFT cell and can differ from measured ones.

Atomic structure:
```
data_Mo3WSe4S4
_space_group_name_H-M_alt 'P 3 m 1'
_space_group_IT_number 156
_space_group_name_Hall 'P 3 -2"'
_cell_length_a 3.2528
_cell_length_b 3.2528
_cell_length_c 36.8623
_cell_angle_alpha 90.00
_cell_angle_beta 90.00
_cell_angle_gamma 120.00
loop_
_atom_site_label
_atom_site_type_symbol
_atom_site_fract_x
_atom_site_fract_y
_atom_site_fract_z
Mo1 Mo 0.0000 0.0000 0.0000
Mo2 Mo 0.0000 0.0000 0.3758
Mo3 Mo 0.6667 0.3333 0.8121
W1 W 0.6667 0.3333 0.1879
Se1 Se 0.6667 0.3333 0.0461
Se2 Se 0.6667 0.3333 0.3297
Se3 Se 0.6667 0.3333 0.4219
Se4 Se 0.6667 0.3333 0.9539
S1 S 0.0000 0.0000 0.1458
S2 S 0.0000 0.0000 0.2299
S3 S 0.0000 0.0000 0.7702
S4 S 0.0000 0.0000 0.8541
```

Principal peaks in the range 2θ from 15° to 90°, in order of falling intensity:
- d = 2.403 Å, I 100, hkl 1 0 8
- d = 1.998 Å, I 62, hkl 1 0 13
- d = 2.815 Å, I 62, hkl 1 0 0
- d = 1.626 Å, I 36, hkl 1 1 0
- d = 1.924 Å, I 23, hkl 1 0 14
- d = 2.631 Å, I 21, hkl 1 0 5